Theoretical PXRD pattern of Sm6Ga3C for Cu Kα, 1.54184 Å, from a crystal structure in Alexandria, relaxed with GGA-PBE.

Cell and atoms:
a b c (Å): 6.4454 8.0932 11.6391
angles (deg): 90.00 119.25 90.00
Space group P2_1/c (No. 14)
Inequivalent atoms, fractional coordinates:
Sm 0.0889 0.0481 0.2300 x4
Sm 0.1797 0.7089 0.0614 x4
Sm 0.3894 0.1515 0.0586 x4
Ga 0.3183 0.1141 0.7397 x4
Ga 0.5000 0.0000 0.5000 x2
C 0.0000 0.0000 0.0000 x2

The 10 most intense peaks (2θ from 5° to 70°), by angle:
hkl  d [Å]  I/Imax
1 2 -2  3.207  74
0 2 2  3.165  66
1 0 2  3.091  81
2 1 -2  2.987  76
1 2 1  2.891  100
2 1 -3  2.813  98
1 2 -3  2.788  53
1 1 -4  2.736  53
2 1 0  2.656  46
1 3 -1  2.488  59